[1]
Structure and calculated powder XRD pattern of Pr12Ge6Pb (a cell relaxed with PBE; Cu Kα (λ = 1.5418 Å)).

The 8 most intense peaks (2θ = 10–80°), sorted by position:
2θ/deg	d [Å]	I (rel.)
26.9	3.311	28
29.6	3.022	47
32.0	2.798	100
34.3	2.617	21
44.1	2.053	22
50.9	1.795	30
54.0	1.698	33
62.8	1.481	21

Crystal structure
a = 9.067 Å, b = 9.067 Å, c = 9.067 Å
α = 109.47°, β = 109.47°, γ = 109.47°
Fractional positions:
Pr: 0.108 0.812 0.296
Pr: 0.188 0.296 0.484
Pr: 0.188 0.704 0.892
Pr: 0.296 0.108 0.812
Pr: 0.296 0.484 0.188
Pr: 0.484 0.188 0.296
Pr: 0.516 0.812 0.704
Pr: 0.704 0.516 0.812
Pr: 0.704 0.892 0.188
Pr: 0.812 0.296 0.108
Pr: 0.812 0.704 0.516
Pr: 0.892 0.188 0.704
Ge: 0.119 0.619 0.500
Ge: 0.381 0.500 0.881
Ge: 0.500 0.119 0.619
Ge: 0.500 0.881 0.381
Ge: 0.619 0.500 0.119
Ge: 0.881 0.381 0.500
Pb: 0.000 0.000 0.000



[2]
Structure and calculated powder XRD pattern of PrGePb (a cell relaxed with PBE; Cu Kα (λ = 1.5418 Å)).

The 8 most intense peaks (2θ = 10–80°), sorted by position:
2θ/deg	d [Å]	I (rel.)
29.3	3.053	28
30.6	2.926	100
31.3	2.855	63
36.4	2.470	37
38.7	2.327	20
41.2	2.193	23
56.0	1.641	46
62.8	1.481	19

Crystal structure
a = 9.653 Å, b = 9.653 Å, c = 4.015 Å
α = 90.00°, β = 90.00°, γ = 153.74°
Fractional positions:
Pr: 0.091 0.909 0.750
Pr: 0.909 0.091 0.250
Ge: 0.456 0.544 0.750
Ge: 0.544 0.456 0.250
Pb: 0.289 0.711 0.750
Pb: 0.711 0.289 0.250



[3]
Structure and calculated powder XRD pattern of Pr3Ge2Pb2 (a cell relaxed with PBE; Cu Kα (λ = 1.5418 Å)).

The 8 most intense peaks (2θ = 10–80°), sorted by position:
2θ/deg	d [Å]	I (rel.)
25.9	3.438	62
29.4	3.036	100
30.4	2.937	54
33.3	2.693	53
35.9	2.498	42
37.4	2.405	68
39.6	2.273	43
50.8	1.798	28

Crystal structure
a = 6.304 Å, b = 6.304 Å, c = 8.167 Å
α = 111.75°, β = 111.75°, γ = 42.28°
Fractional positions:
Pr: 0.000 0.000 0.000
Pr: 0.178 0.178 0.654
Pr: 0.822 0.822 0.346
Ge: 0.298 0.298 0.075
Ge: 0.702 0.702 0.925
Pb: 0.451 0.451 0.663
Pb: 0.549 0.549 0.337



[4]
Structure and calculated powder XRD pattern of Pr3Ge2Pb (a cell relaxed with PBE; Cu Kα (λ = 1.5418 Å)).

The 8 most intense peaks (2θ = 10–80°), sorted by position:
2θ/deg	d [Å]	I (rel.)
25.8	3.451	96
35.4	2.534	100
38.2	2.356	75
46.7	1.946	16
47.7	1.906	18
53.1	1.726	30
67.3	1.392	28
70.7	1.333	24

Crystal structure
a = 8.000 Å, b = 8.000 Å, c = 8.000 Å
α = 61.34°, β = 61.34°, γ = 61.34°
Fractional positions:
Pr: 0.059 0.750 0.441
Pr: 0.250 0.559 0.941
Pr: 0.441 0.059 0.750
Pr: 0.559 0.941 0.250
Pr: 0.750 0.441 0.059
Pr: 0.941 0.250 0.559
Ge: 0.158 0.158 0.158
Ge: 0.342 0.342 0.342
Ge: 0.658 0.658 0.658
Ge: 0.842 0.842 0.842
Pb: 0.000 0.000 0.000
Pb: 0.500 0.500 0.500



[5]
Structure and calculated powder XRD pattern of Ge2Pt3Pb (a cell relaxed with PBE; Cu Kα (λ = 1.5418 Å)).

The 8 most intense peaks (2θ = 10–80°), sorted by position:
2θ/deg	d [Å]	I (rel.)
22.2	4.008	58
33.5	2.677	100
45.1	2.009	36
45.2	2.004	13
46.7	1.946	63
50.8	1.796	26
65.8	1.419	29
75.8	1.255	20

Crystal structure
a = 8.505 Å, b = 8.505 Å, c = 8.505 Å
α = 152.68°, β = 152.68°, γ = 39.02°
Fractional positions:
Ge: 0.154 0.154 0.000
Ge: 0.846 0.846 0.000
Pt: 0.000 0.000 0.000
Pt: 0.250 0.750 0.500
Pt: 0.750 0.250 0.500
Pb: 0.500 0.500 0.000



[6]
Structure and calculated powder XRD pattern of GePb4S6 (a cell relaxed with PBE; Cu Kα (λ = 1.5418 Å)).

The 8 most intense peaks (2θ = 10–80°), sorted by position:
2θ/deg	d [Å]	I (rel.)
21.0	4.236	48
21.5	4.137	100
22.9	3.887	47
24.8	3.586	43
25.0	3.561	67
26.5	3.361	33
29.6	3.022	29
40.2	2.242	28

Crystal structure
a = 8.638 Å, b = 8.638 Å, c = 13.492 Å
α = 117.20°, β = 117.20°, γ = 51.32°
Fractional positions:
Ge: 0.232 0.768 0.500
Ge: 0.768 0.232 0.000
Pb: 0.067 0.782 0.729
Pb: 0.176 0.388 0.235
Pb: 0.358 0.733 0.093
Pb: 0.388 0.176 0.735
Pb: 0.661 0.797 0.418
Pb: 0.733 0.358 0.593
Pb: 0.782 0.067 0.229
Pb: 0.797 0.661 0.918
S: 0.039 0.071 0.458
S: 0.064 0.694 0.125
S: 0.071 0.039 0.958
S: 0.087 0.591 0.454
S: 0.371 0.815 0.689
S: 0.473 0.546 0.401
S: 0.520 0.987 0.251
S: 0.546 0.473 0.901
S: 0.591 0.087 0.954
S: 0.694 0.064 0.625
S: 0.815 0.371 0.189
S: 0.987 0.520 0.751